The following is a theoretical powder X-ray diffraction pattern of Li2VOF3. It was derived from DFT lattice parameters and positions (PBE+U), using Cu Kα, 1.54184 Å.

Principal peaks in the range 10° ≤ 2θ ≤ 90°, sorted by position:
d/Å  Position (°2θ)  I/Imax
5.780  15.33  179
4.596  19.31  1000
3.855  23.07  170
3.436  25.93  134
2.630  34.09  334
2.298  39.20  239
2.254  40.01  505
1.799  50.74  200
1.777  51.41  318
1.481  62.74  156

Cell and atoms:
```
Li2VOF3
1.0
5.1737 0.0000 0.0000
0.0000 5.0088 0.0000
0.0000 0.0000 11.5607
Li V O F
8 4 4 12
Cartesian
0.0000 0.0000 0.0000 Li
0.0000 0.0000 4.9156 Li
0.0000 2.5044 5.7804 Li
0.0000 2.5044 10.6960 Li
2.5869 0.0000 3.2760 Li
2.5869 0.0000 9.8107 Li
2.5869 2.5044 4.0303 Li
2.5869 2.5044 9.0564 Li
0.0000 0.0000 7.9517 V
0.0000 2.5044 2.1713 V
2.5869 0.0000 6.4623 V
2.5869 2.5044 0.6820 V
0.9236 1.0047 6.5844 O
0.9236 1.4997 0.8040 O
4.2501 3.5091 0.8040 O
4.2501 4.0041 6.5844 O
0.9170 1.0838 9.4726 F
0.9170 1.4206 3.6922 F
1.7129 3.6112 10.7709 F
1.7129 3.9020 4.9905 F
1.7520 3.6250 2.2192 F
1.7520 3.8882 7.9995 F
3.4218 1.1206 7.9995 F
3.4218 1.3838 2.2192 F
3.4608 1.1068 4.9905 F
3.4608 1.3976 10.7709 F
4.2567 3.5882 3.6922 F
4.2567 3.9250 9.4726 F
```